The following is a theoretical powder X-ray diffraction pattern of ZnS3Br. It was derived from a cell relaxed with GGA-PBE, using a wavelength of 1.5418 Å.

Cell and atoms:
a = 3.969 Å, b = 5.886 Å, c = 6.893 Å
α = 106.73°, β = 93.00°, γ = 92.47°
Fractional positions:
Zn1 0.000 0.000 0.000
S1 0.101 0.408 0.728
S2 0.913 0.388 0.988
S3 0.999 0.721 0.681
Br1 0.513 0.980 0.214

Most intense lines, 2θ = 10–80°, by angle:
two_theta  I (rel.)
13.44  100
15.75  49
17.50  59
23.60  65
25.47  31
27.07  69
28.64  33
30.72  35
31.81  27
45.89  39

---

The following is a theoretical powder X-ray diffraction pattern of ZnS3Br3. It was derived from a cell relaxed with GGA-PBE, using a wavelength of 1.5418 Å.

Cell and atoms:
a = 8.322 Å, b = 8.324 Å, c = 9.435 Å
α = 63.93°, β = 88.02°, γ = 60.11°
Fractional positions:
Zn1 0.246 0.499 0.255
Zn2 0.754 0.501 0.745
S1 0.275 0.215 0.813
S2 0.466 0.802 0.190
S3 0.485 0.042 0.190
S4 0.515 0.958 0.810
S5 0.534 0.198 0.810
S6 0.725 0.785 0.187
Br1 0.060 0.822 0.255
Br2 0.110 0.311 0.254
Br3 0.429 0.640 0.742
Br4 0.571 0.360 0.258
Br5 0.890 0.689 0.746
Br6 0.940 0.178 0.745

Most intense lines, 2θ = 10–80°, by angle:
two_theta  I (rel.)
14.08  14
18.47  14
19.15  27
21.59  100
24.88  40
25.15  18
31.07  18
36.51  13
43.49  20
44.01  12

---

The following is a theoretical powder X-ray diffraction pattern of ZnS5Br. It was derived from a cell relaxed with GGA-PBE, using a wavelength of 1.5418 Å.

Cell and atoms:
a = 4.082 Å, b = 4.445 Å, c = 12.343 Å
α = 79.71°, β = 86.91°, γ = 72.53°
Fractional positions:
Zn1 0.000 0.000 0.000
S1 0.002 0.293 0.410
S2 0.176 0.520 0.518
S3 0.249 0.697 0.857
S4 0.751 0.444 0.857
S5 0.827 0.958 0.518
Br1 0.500 0.941 0.118

Most intense lines, 2θ = 10–80°, by angle:
two_theta  I (rel.)
14.59  100
21.27  36
21.96  23
23.69  96
27.21  48
27.93  33
28.29  62
36.87  32
37.57  22
44.48  20

---

The following is a theoretical powder X-ray diffraction pattern of ZnSBr. It was derived from a cell relaxed with GGA-PBE, using a wavelength of 1.5418 Å.

Cell and atoms:
a = 6.930 Å, b = 6.930 Å, c = 6.922 Å
α = 101.93°, β = 101.93°, γ = 32.22°
Fractional positions:
Zn1 0.035 0.035 0.292
Zn2 0.965 0.965 0.708
S1 0.433 0.433 0.885
S2 0.567 0.567 0.115
Br1 0.139 0.139 0.632
Br2 0.861 0.861 0.368

Most intense lines, 2θ = 10–80°, by angle:
two_theta  I (rel.)
13.10  42
13.62  98
24.13  77
26.82  100
27.77  59
32.38  44
37.16  37
41.67  34
45.73  42
48.62  38

---

The following is a theoretical powder X-ray diffraction pattern of ZrS8Br2. It was derived from a cell relaxed with GGA-PBE, using a wavelength of 1.5418 Å.

Cell and atoms:
a = 6.128 Å, b = 6.432 Å, c = 9.413 Å
α = 75.70°, β = 83.01°, γ = 65.86°
Fractional positions:
Zr1 0.000 0.000 0.000
S1 0.001 0.247 0.726
S2 0.032 0.923 0.724
S3 0.112 0.530 0.051
S4 0.436 0.888 0.070
S5 0.564 0.112 0.930
S6 0.888 0.470 0.949
S7 0.968 0.077 0.276
S8 0.999 0.753 0.274
Br1 0.412 0.708 0.655
Br2 0.588 0.292 0.345

Most intense lines, 2θ = 10–80°, by angle:
two_theta  I (rel.)
17.26  100
18.42  82
20.02  42
21.61  50
22.12  56
23.10  49
29.38  88
30.63  64
32.02  62
32.82  44

---

The following is a theoretical powder X-ray diffraction pattern of SbBr7. It was derived from a cell relaxed with GGA-PBE, using a wavelength of 1.5418 Å.

Cell and atoms:
a = 6.678 Å, b = 6.678 Å, c = 6.678 Å
α = 60.00°, β = 60.00°, γ = 60.00°
Fractional positions:
Sb1 0.000 0.000 0.000
Br1 0.000 0.000 0.500
Br2 0.000 0.500 0.000
Br3 0.000 0.500 0.500
Br4 0.500 0.000 0.000
Br5 0.500 0.000 0.500
Br6 0.500 0.500 0.000
Br7 0.500 0.500 0.500

Most intense lines, 2θ = 10–80°, by angle:
two_theta  I (rel.)
16.26  2
18.79  1
26.70  1
31.42  1
32.85  100
38.12  50
55.00  33
65.57  39
68.88  11

---

The following is a theoretical powder X-ray diffraction pattern of Sb3Br. It was derived from a cell relaxed with GGA-PBE, using a wavelength of 1.5418 Å.

Cell and atoms:
a = 5.455 Å, b = 5.455 Å, c = 5.455 Å
α = 110.06°, β = 110.06°, γ = 110.06°
Fractional positions:
Sb1 0.000 0.500 0.500
Sb2 0.500 0.000 0.500
Sb3 0.500 0.500 0.000
Br1 0.000 0.000 0.000

Most intense lines, 2θ = 10–80°, by angle:
two_theta  I (rel.)
28.57  100
40.36  39
41.32  36
50.19  21
51.81  6
59.13  12
66.28  18
67.65  16
73.37  7
74.03  13

---

The following is a theoretical powder X-ray diffraction pattern of Sb3Br. It was derived from a cell relaxed with GGA-PBE, using a wavelength of 1.5418 Å.

Cell and atoms:
a = 3.869 Å, b = 3.869 Å, c = 7.735 Å
α = 90.00°, β = 90.00°, γ = 90.00°
Fractional positions:
Sb1 0.000 0.000 0.000
Sb2 0.500 0.500 0.204
Sb3 0.500 0.500 0.796
Br1 0.000 0.000 0.500

Most intense lines, 2θ = 10–80°, by angle:
two_theta  I (rel.)
11.44  13
32.74  100
34.79  5
42.12  9
46.98  17
48.52  4
58.44  29
64.91  7
68.62  8
78.12  12